Diffraction record for ErHfAg6. The powder diffraction line list is calculated, not measured: it uses a DFT-relaxed cell (GGA-PBE, OQMD) and Cu Kα.
Kinematic intensities with the Lorentz-polarization factor, no thermal factor.

Top 10 peaks for 15 to 90 degrees two-theta, by angle:
d (Å), 2θ/deg, intensity, index
2.607, 34.40, 27, 0 2 1
2.458, 36.56, 42, 2 0 0
2.303, 39.11, 100, 1 2 1
2.251, 40.06, 51, 1 0 2
1.788, 51.07, 17, 2 2 1
1.476, 62.99, 16, 0 2 3
1.387, 67.52, 19, 3 2 1
1.375, 68.18, 10, 3 0 2
1.265, 75.08, 21, 2 2 3
1.260, 75.44, 15, 1 4 2

```
8
Lattice="4.915 0.000 0.000 0.000 6.083 0.000 0.000 0.000 5.063" Properties=species:S:1:pos:R:3 pbc="T T T"
Er 0.000 0.000 0.000
Hf 2.458 3.042 1.574
Ag 0.000 1.597 2.497
Ag 0.000 3.042 5.025
Ag 0.000 4.487 2.497
Ag 2.458 0.000 1.706
Ag 2.458 1.555 4.137
Ag 2.458 4.529 4.137
```